Entry 1:
Starting from a crystal structure in the Materials Project, relaxed with PBE, the powder X-ray diffraction pattern of AlBiO3 was computed for Cu Kα (λ = 1.5418 Å).
Neutral-atom scattering factors, no anomalous dispersion.

Largest 6 diffraction maxima, low angle first, 5° ≤ 2θ ≤ 70°:
h k l	two_theta	I/Imax
1 0 -2	20.74	54
1 1 0	22.27	100
2 0 0	27.78	27
0 1 2	28.98	75
2 1 -2	32.18	46
1 1 -4	46.00	44

Atomic structure:
a = 7.207 Å, b = 5.095 Å, c = 8.683 Å
α = 90.00°, β = 116.99°, γ = 90.00°
Space group P2_1/c (No. 14)
Unique sites:
1 Al 0.093 0.240 0.012 [4 per cell]
2 Bi 0.291 0.724 0.381 [4 per cell]
3 O 0.026 0.045 0.156 [4 per cell]
4 O 0.168 0.574 0.111 [4 per cell]
5 O 0.347 0.146 0.029 [4 per cell]

***

Entry 2:
Starting from a crystal structure in the Materials Project, relaxed with PBE, the powder X-ray diffraction pattern of AlBiO3 was computed for Cu Kα (λ = 1.5418 Å).
Neutral-atom scattering factors, no anomalous dispersion.

Largest 6 diffraction maxima, low angle first, 5° ≤ 2θ ≤ 70°:
h k l	two_theta	I/Imax
0 1 2	23.13	100
1 0 4	32.81	73
1 1 0	33.09	70
2 0 2	40.76	41
0 2 4	47.28	38
2 1 4	58.92	30

Atomic structure:
a = 5.4151 Å, b = 5.4151 Å, c = 13.4288 Å
α = 90.00°, β = 90.00°, γ = 120.00°
Space group R3c (No. 161, hexagonal axes)
Unique sites:
1 Al 0.0000 0.0000 0.0000 [6 per cell]
2 Bi 0.0000 0.0000 0.2270 [6 per cell]
3 O 0.0101 0.4554 0.2612 [18 per cell]

***

Entry 3:
Starting from a crystal structure in the Materials Project, relaxed with PBE, the powder X-ray diffraction pattern of AlBiO3 was computed for Cu Kα (λ = 1.5418 Å).
Neutral-atom scattering factors, no anomalous dispersion.

Largest 6 diffraction maxima, low angle first, 5° ≤ 2θ ≤ 70°:
h k l	two_theta	I/Imax
0 2 0	18.83	43
1 0 1	23.34	49
1 2 1	30.16	100
0 0 2	33.24	36
2 2 0	38.48	39
3 2 1	57.49	36

Atomic structure:
a = 5.396 Å, b = 9.425 Å, c = 5.385 Å
α = 90.00°, β = 90.00°, γ = 90.00°
Space group Pnma (No. 62)
Unique sites:
1 Al 0.031 0.250 0.042 [4 per cell]
2 Bi 0.000 0.000 0.500 [4 per cell]
3 O 0.131 0.101 0.874 [8 per cell]
4 O 0.215 0.250 0.332 [4 per cell]

***

Entry 4:
Starting from a crystal structure in the Materials Project, relaxed with PBE, the powder X-ray diffraction pattern of Al4Bi2O9 was computed for Cu Kα (λ = 1.5418 Å).
Neutral-atom scattering factors, no anomalous dispersion.

Largest 6 diffraction maxima, low angle first, 5° ≤ 2θ ≤ 70°:
h k l	two_theta	I/Imax
0 0 1	15.36	97
1 2 0	24.43	38
1 2 1	28.98	100
2 1 1	29.74	91
2 1 2	40.44	42
3 3 0	48.28	44

Atomic structure:
a = 7.782 Å, b = 8.248 Å, c = 5.768 Å
α = 90.00°, β = 90.00°, γ = 90.00°
Space group Pbam (No. 55)
Unique sites:
1 Al 0.000 0.000 0.239 [4 per cell]
2 Al 0.148 0.339 0.000 [4 per cell]
3 Bi 0.170 0.670 0.500 [4 per cell]
4 O 0.000 0.500 0.000 [2 per cell]
5 O 0.123 0.208 0.248 [8 per cell]
6 O 0.139 0.915 0.000 [4 per cell]
7 O 0.144 0.935 0.500 [4 per cell]

***

Entry 5:
Starting from a crystal structure in the Materials Project, relaxed with PBE, the powder X-ray diffraction pattern of Al2Bi2O7 was computed for Cu Kα (λ = 1.5418 Å).
Neutral-atom scattering factors, no anomalous dispersion.

Largest 6 diffraction maxima, low angle first, 5° ≤ 2θ ≤ 70°:
h k l	two_theta	I/Imax
1 1 1	15.10	50
3 1 1	29.15	54
2 2 2	30.48	100
4 0 0	35.33	31
4 4 0	50.83	51
6 2 2	60.44	44

Atomic structure:
a = 10.161 Å, b = 10.161 Å, c = 10.161 Å
α = 90.00°, β = 90.00°, γ = 90.00°
Space group Fd-3m (No. 227, origin choice 2)
Unique sites:
1 Al 0.000 0.000 0.000 [16 per cell]
2 Bi 0.000 0.000 0.500 [16 per cell]
3 O 0.091 0.375 0.375 [48 per cell]
4 O 0.125 0.125 0.125 [8 per cell]

***

Entry 6:
Starting from a crystal structure in the Materials Project, relaxed with PBE, the powder X-ray diffraction pattern of AlBiO3 was computed for Cu Kα (λ = 1.5418 Å).
Neutral-atom scattering factors, no anomalous dispersion.

Largest 6 diffraction maxima, low angle first, 5° ≤ 2θ ≤ 70°:
h k l	two_theta	I/Imax
0 0 2	13.75	73
0 0 4	27.71	33
1 0 1	29.14	100
1 0 3	35.31	39
1 0 5	45.47	35
1 1 4	58.20	25

Atomic structure:
a = 3.6428 Å, b = 3.6428 Å, c = 12.8761 Å
α = 90.00°, β = 90.00°, γ = 120.00°
Space group P6_3/mmc (No. 194)
Unique sites:
1 Al 0.0000 0.0000 0.0000 [2 per cell]
2 Bi 0.3333 0.6667 0.2500 [2 per cell]
3 O 0.0000 0.0000 0.2500 [2 per cell]
4 O 0.3333 0.6667 0.0617 [4 per cell]

***

Entry 7:
Starting from a crystal structure in the Materials Project, relaxed with PBE, the powder X-ray diffraction pattern of AlBiO3 was computed for Cu Kα (λ = 1.5418 Å).
Neutral-atom scattering factors, no anomalous dispersion.

Largest 6 diffraction maxima, low angle first, 5° ≤ 2θ ≤ 70°:
h k l	two_theta	I/Imax
1 0 0	23.49	65
1 1 0	33.46	100
1 1 1	41.29	42
2 0 0	48.05	30
2 1 0	54.15	31
2 1 1	59.82	40

Atomic structure:
a = 3.787 Å, b = 3.787 Å, c = 3.787 Å
α = 90.00°, β = 90.00°, γ = 90.00°
Space group Pm-3m (No. 221)
Unique sites:
1 Al 0.000 0.000 0.000 [1 per cell]
2 Bi 0.500 0.500 0.500 [1 per cell]
3 O 0.000 0.000 0.500 [3 per cell]

***

Repeat the fifth record exactly.
Starting from a crystal structure in the Materials Project, relaxed with PBE, the powder X-ray diffraction pattern of Al2Bi2O7 was computed for Cu Kα (λ = 1.5418 Å).
Neutral-atom scattering factors, no anomalous dispersion.

Largest 6 diffraction maxima, low angle first, 5° ≤ 2θ ≤ 70°:
h k l	two_theta	I/Imax
1 1 1	15.10	50
3 1 1	29.15	54
2 2 2	30.48	100
4 0 0	35.33	31
4 4 0	50.83	51
6 2 2	60.44	44

Atomic structure:
a = 10.161 Å, b = 10.161 Å, c = 10.161 Å
α = 90.00°, β = 90.00°, γ = 90.00°
Space group Fd-3m (No. 227, origin choice 2)
Unique sites:
1 Al 0.000 0.000 0.000 [16 per cell]
2 Bi 0.000 0.000 0.500 [16 per cell]
3 O 0.091 0.375 0.375 [48 per cell]
4 O 0.125 0.125 0.125 [8 per cell]